# ErPuHf
Calculated XRD peak list, copper Kα. Input: a DFT-relaxed cell (GGA-PBE, Alexandria).

Atomic structure:
```
data_ErPuHf
_chemical_formula_sum 'Er2 Pu2 Hf2'
_space_group_name_H-M_alt 'I 4 m m'
_space_group_IT_number 107
_space_group_name_Hall 'I 4 -2'
_cell_length_a 3.300
_cell_length_b 3.300
_cell_length_c 14.274
_cell_angle_alpha 90.00
_cell_angle_beta 90.00
_cell_angle_gamma 90.00
loop_
_atom_site_label
_atom_site_fract_x
_atom_site_fract_y
_atom_site_fract_z
Er1 0.000 0.000 0.000
Pu1 0.000 0.000 0.319
Hf1 0.000 0.000 0.665
```

Peak list (12 most intense, 15 to 90 degrees two-theta, low angle first)
27.75°, I = 2, hkl 1 0 1
33.04°, I = 100, hkl 1 0 3
37.82°, I = 17, hkl 0 0 6
38.59°, I = 34, hkl 1 1 0
41.84°, I = 2, hkl 1 0 5
55.14°, I = 23, hkl 1 1 6
55.72°, I = 12, hkl 2 0 0
65.27°, I = 13, hkl 1 0 9
66.32°, I = 28, hkl 2 1 3
69.31°, I = 12, hkl 2 0 6
80.80°, I = 2, hkl 0 0 12
82.73°, I = 4, hkl 2 2 0